Theoretical powder XRD pattern
Compound: Zr3Ta
Radiation: Cu Ka
Structure: a GGA-PBE-relaxed structure
Neutral-atom scattering factors, no anomalous dispersion.

Cell and atoms:
Unit cell a=6.3061 b=6.3061 c=5.1510 alpha=90.00 beta=90.00 gamma=120.00
Space group P6_3/mmc (No. 194)
One atom of each set of equivalent atoms:
1 Zr 0.1712 0.3424 0.2500 x6
2 Ta 0.3333 0.6667 0.7500 x2

Peak list (12 most intense, 10° ≤ 2θ ≤ 90°, in order of falling intensity)
| 2θ/deg | I_rel | hkl |
| --- | --- | --- |
| 37.27 | 100 | 2 0 1 |
| 34.83 | 27 | 0 0 2 |
| 32.80 | 24 | 2 0 0 |
| 64.06 | 21 | 2 0 3 |
| 69.97 | 20 | 2 2 2 |
| 58.55 | 17 | 2 2 0 |
| 71.48 | 16 | 4 0 1 |
| 48.59 | 16 | 2 0 2 |
| 23.74 | 9 | 1 0 1 |
| 16.23 | 6 | 1 0 0 |
| 47.45 | 5 | 2 1 1 |
| 28.30 | 5 | 1 1 0 |